[1]
For Er3TmGa2, a DFT-relaxed cell (PBE, Alexandria) gives the calculated X-ray powder pattern in this record (Cu Kα (λ = 1.5418 Å)).

Cell and atoms:
Cell lengths 15.7766, 5.0089, 8.7789 Å; angles 90.00, 117.84, 90.00 degrees
Space group C2/m (No. 12)
One atom of each set of equivalent atoms:
Er: 0.0607 0.0000 0.2177 [4 per cell]
Er: 0.1217 0.5000 0.0131 [4 per cell]
Er: 0.1870 0.5000 0.4923 [4 per cell]
Tm: 0.1303 0.0000 0.6903 [4 per cell]
Ga: 0.0176 0.5000 0.6529 [4 per cell]
Ga: 0.2276 0.0000 0.1160 [4 per cell]

Main lines, by angle (10 to 90 degrees two-theta):
2θ (°)	intensity
27.36	14
28.33	31
31.17	23
32.08	89
33.75	100
35.67	25
35.86	51
48.83	16
55.83	14
63.10	16



[2]
For Er3TmGa3, a DFT-relaxed cell (PBE, Alexandria) gives the calculated X-ray powder pattern in this record (Cu Kα (λ = 1.5418 Å)).

Cell and atoms:
Cell lengths 8.9883, 8.9883, 4.7818 Å; angles 90.00, 90.00, 120.00 degrees
Space group P6_3/m (No. 176)
One atom of each set of equivalent atoms:
Er: 0.0123 0.2517 0.2500 [6 per cell]
Tm: 0.3333 0.6667 0.7500 [2 per cell]
Ga: 0.0588 0.6091 0.2500 [6 per cell]

Main lines, by angle (10 to 90 degrees two-theta):
2θ (°)	intensity
27.23	17
29.59	17
30.38	26
34.57	13
35.84	100
37.62	25
49.10	14
54.88	14
66.74	16
67.66	11



[3]
For Er3Tm3Ga4, a DFT-relaxed cell (PBE, Alexandria) gives the calculated X-ray powder pattern in this record (Cu Kα (λ = 1.5418 Å)).

Cell and atoms:
Cell lengths 4.2348, 10.7460, 10.7315 Å; angles 90.00, 90.00, 90.00 degrees
Space group Amm2 (No. 38)
One atom of each set of equivalent atoms:
Er: 0.0000 0.0000 0.0000 [2 per cell]
Er: 0.0000 0.1747 0.6744 [4 per cell]
Tm: 0.0000 0.0000 0.3491 [2 per cell]
Tm: 0.5000 0.2498 0.4244 [4 per cell]
Ga: 0.5000 0.0000 0.5532 [2 per cell]
Ga: 0.5000 0.0000 0.7951 [2 per cell]
Ga: 0.5000 0.1206 0.1747 [4 per cell]

Main lines, by angle (10 to 90 degrees two-theta):
2θ (°)	intensity
26.24	16
26.81	20
31.65	70
33.38	18
33.83	100
37.45	49
42.70	24
54.32	16
55.76	19
58.08	27



[4]
For Er3TmGa4, a DFT-relaxed cell (PBE, Alexandria) gives the calculated X-ray powder pattern in this record (Cu Kα (λ = 1.5418 Å)).

Cell and atoms:
Cell lengths 3.5450, 6.6721, 16.4217 Å; angles 90.00, 90.00, 90.00 degrees
Space group Immm (No. 71)
One atom of each set of equivalent atoms:
Er: 0.0000 0.0000 0.0000 [2 per cell]
Er: 0.0000 0.5000 0.2027 [4 per cell]
Tm: 0.0000 0.0000 0.5000 [2 per cell]
Ga: 0.0000 0.3064 0.3707 [8 per cell]

Main lines, by angle (10 to 90 degrees two-theta):
2θ (°)	intensity
26.72	18
30.33	21
30.56	100
34.65	44
36.08	17
37.35	29
40.63	23
43.94	16
49.65	25
67.48	18



[5]
For Er3TmGa4, a DFT-relaxed cell (PBE, Alexandria) gives the calculated X-ray powder pattern in this record (Cu Kα (λ = 1.5418 Å)).

Cell and atoms:
Cell lengths 4.9974, 4.9974, 24.5483 Å; angles 90.00, 90.00, 120.00 degrees
Space group R-3m (No. 166, hexagonal axes)
One atom of each set of equivalent atoms:
Er: 0.0000 0.0000 0.0000 [3 per cell]
Er: 0.0000 0.0000 0.2498 [6 per cell]
Tm: 0.0000 0.0000 0.5000 [3 per cell]
Ga: 0.0000 0.0000 0.1252 [6 per cell]
Ga: 0.0000 0.0000 0.3752 [6 per cell]

Main lines, by angle (10 to 90 degrees two-theta):
2θ (°)	intensity
25.18	18
35.91	100
51.69	18
58.34	8
64.43	9
64.58	27
76.04	6
76.20	6
87.09	8
87.20	8



[6]
For Er6Tm2Ga, a DFT-relaxed cell (PBE, Alexandria) gives the calculated X-ray powder pattern in this record (Cu Kα (λ = 1.5418 Å)).

Cell and atoms:
Cell lengths 9.0638, 16.9829, 3.4807 Å; angles 90.00, 90.00, 90.00 degrees
Space group Cmmm (No. 65)
One atom of each set of equivalent atoms:
Er: 0.1736 0.1616 0.0000 [8 per cell]
Er: 0.2120 0.5000 0.5000 [4 per cell]
Tm: 0.0000 0.3199 0.5000 [4 per cell]
Ga: 0.0000 0.0000 0.0000 [2 per cell]

Main lines, by angle (10 to 90 degrees two-theta):
2θ (°)	intensity
27.96	45
31.61	66
31.75	33
33.28	23
33.62	100
34.15	67
38.34	27
38.92	36
57.59	35
63.88	32